Record 1
Diffraction record for Li2TiFeO4. The PXRD pattern is calculated, not measured: it uses a crystal structure in the Materials Project, relaxed with PBE+U and Cu Kα, 1.54184 Å.
Neutral-atom scattering factors, no anomalous dispersion.

Most intense lines, 2θ = 10–80°, in order of falling intensity:
2θ/deg	I_rel
18.11	100
17.95	100
42.51	57
42.16	57
42.62	56
61.39	46
34.87	35
61.50	30
34.78	29
35.12	22

Cell and atoms:
```
data_Li2TiFeO4
_chemical_formula_sum 'Li8 Ti4 Fe4 O16'
_space_group_name_H-M_alt 'P 1'
_space_group_IT_number 1
_cell_length_a 6.039
_cell_length_b 6.039
_cell_length_c 8.486
_cell_angle_alpha 90.52
_cell_angle_beta 90.49
_cell_angle_gamma 90.44
loop_
_space_group_symop_operation_xyz
'x,y,z'
loop_
_atom_site_label
_atom_site_fract_x
_atom_site_fract_y
_atom_site_fract_z
Li1 0.000 0.000 0.000
Li2 0.002 0.493 0.502
Li3 0.244 0.246 0.750
Li4 0.250 0.740 0.749
Li5 0.499 0.497 0.497
Li6 0.503 0.993 0.002
Li7 0.747 0.746 0.253
Li8 0.750 0.241 0.249
Ti1 0.250 0.746 0.250
Ti2 0.498 0.993 0.502
Ti3 0.741 0.251 0.751
Ti4 0.992 0.503 0.001
Fe1 0.245 0.247 0.252
Fe2 0.493 0.493 0.003
Fe3 0.749 0.750 0.749
Fe4 0.997 0.998 0.500
O1 0.005 0.512 0.237
O2 0.014 0.975 0.256
O3 0.227 0.739 0.011
O4 0.230 0.271 0.007
O5 0.262 0.756 0.490
O6 0.269 0.230 0.496
O7 0.475 0.521 0.252
O8 0.487 0.982 0.262
O9 0.504 0.016 0.740
O10 0.522 0.485 0.752
O11 0.722 0.768 0.500
O12 0.731 0.239 0.515
O13 0.759 0.722 0.001
O14 0.764 0.254 0.989
O15 0.972 0.012 0.745
O16 0.989 0.479 0.763
```

Record 2
Diffraction record for Li2TiFeO4. The PXRD pattern is calculated, not measured: it uses a crystal structure in the Materials Project, relaxed with PBE+U and Cu Kα, 1.54184 Å.
Neutral-atom scattering factors, no anomalous dispersion.

Most intense lines, 2θ = 10–80°, in order of falling intensity:
2θ/deg	I_rel
22.74	100
40.98	68
41.87	65
45.21	55
25.72	52
25.51	27
21.19	23
32.68	20
36.87	18
60.29	17

Cell and atoms:
```
data_Li2TiFeO4
_chemical_formula_sum 'Li8 Ti4 Fe4 O16'
_space_group_name_H-M_alt 'P 1'
_space_group_IT_number 1
_cell_length_a 5.882
_cell_length_b 5.902
_cell_length_c 9.278
_cell_angle_alpha 89.13
_cell_angle_beta 71.72
_cell_angle_gamma 85.81
loop_
_space_group_symop_operation_xyz
'x,y,z'
loop_
_atom_site_label
_atom_site_fract_x
_atom_site_fract_y
_atom_site_fract_z
Li1 0.000 0.000 0.000
Li2 0.097 0.235 0.287
Li3 0.243 0.494 0.505
Li4 0.393 0.757 0.724
Li5 0.500 0.499 0.001
Li6 0.597 0.735 0.286
Li7 0.743 0.994 0.504
Li8 0.891 0.255 0.724
Ti1 0.108 0.711 0.259
Ti2 0.393 0.274 0.745
Ti3 0.613 0.215 0.256
Ti4 0.891 0.776 0.745
Fe1 0.243 0.995 0.505
Fe2 0.488 0.993 0.008
Fe3 0.743 0.495 0.505
Fe4 0.997 0.497 0.000
O1 0.103 0.982 0.755
O2 0.120 0.491 0.749
O3 0.213 0.740 0.047
O4 0.266 0.234 0.962
O5 0.360 0.503 0.265
O6 0.384 0.009 0.253
O7 0.491 0.245 0.510
O8 0.493 0.745 0.505
O9 0.603 0.482 0.755
O10 0.624 0.992 0.744
O11 0.731 0.255 0.046
O12 0.754 0.746 0.961
O13 0.860 0.003 0.265
O14 0.881 0.506 0.256
O15 0.991 0.745 0.508
O16 0.994 0.245 0.505
```

Record 3
Diffraction record for Na2GaNiF7. The PXRD pattern is calculated, not measured: it uses a crystal structure in the Materials Project, relaxed with PBE+U and Cu Kα, 1.54184 Å.
Neutral-atom scattering factors, no anomalous dispersion.

Most intense lines, 2θ = 10–80°, in order of falling intensity:
2θ/deg	I_rel
29.36	100
30.15	89
49.64	80
14.56	52
17.01	50
24.23	45
58.09	38
28.72	25
59.47	24
58.92	22

Cell and atoms:
```
data_Na2GaNiF7
_chemical_formula_sum 'Na8 Ga4 Ni4 F28'
_space_group_name_H-M_alt 'I m m a'
_space_group_IT_number 74
_space_group_name_Hall '-I 2b 2'
_cell_length_a 7.232
_cell_length_b 10.350
_cell_length_c 7.522
_cell_angle_alpha 90.00
_cell_angle_beta 90.00
_cell_angle_gamma 90.00
loop_
_atom_site_label
_atom_site_fract_x
_atom_site_fract_y
_atom_site_fract_z
Na1 0.000 0.000 0.000
Na2 0.250 0.250 0.250
Ga1 0.000 0.000 0.500
Ni1 0.250 0.250 0.750
F1 0.000 0.089 0.273
F2 0.000 0.250 0.859
F3 0.197 0.115 0.563
```

Record 4
Diffraction record for NaLi2FePCO7. The PXRD pattern is calculated, not measured: it uses a crystal structure in the Materials Project, relaxed with PBE+U and Cu Kα, 1.54184 Å.
Neutral-atom scattering factors, no anomalous dispersion.

Most intense lines, 2θ = 10–80°, in order of falling intensity:
2θ/deg	I_rel
27.25	100
10.22	80
20.66	45
19.55	35
34.97	33
26.09	32
34.72	29
35.87	22
42.12	22
34.02	19

Cell and atoms:
```
data_NaLi2FePCO7
_chemical_formula_sum 'Na2 Li4 Fe2 P2 C2 O14'
_space_group_name_H-M_alt 'P 1'
_space_group_IT_number 1
_cell_length_a 5.143
_cell_length_b 6.548
_cell_length_c 8.676
_cell_angle_alpha 91.17
_cell_angle_beta 93.56
_cell_angle_gamma 90.64
loop_
_space_group_symop_operation_xyz
'x,y,z'
loop_
_atom_site_label
_atom_site_fract_x
_atom_site_fract_y
_atom_site_fract_z
Na1 0.000 0.000 0.000
Na2 0.010 0.745 0.656
Li1 0.009 0.467 0.024
Li2 0.483 0.280 0.839
Li3 0.488 0.525 0.462
Li4 0.501 0.978 0.468
Fe1 0.044 0.245 0.404
Fe2 0.472 0.736 0.088
P1 0.547 0.247 0.161
P2 0.977 0.739 0.327
C1 0.533 0.745 0.786
C2 0.948 0.255 0.703
O1 0.074 0.723 0.162
O2 0.079 0.558 0.428
O3 0.089 0.933 0.415
O4 0.193 0.254 0.674
O5 0.310 0.746 0.849
O6 0.431 0.421 0.056
O7 0.438 0.252 0.324
O8 0.470 0.048 0.068
O9 0.545 0.750 0.637
O10 0.672 0.742 0.318
O11 0.743 0.737 0.877
O12 0.772 0.237 0.588
O13 0.850 0.269 0.178
O14 0.875 0.275 0.843
```